[1]
# SrU3Se2O18
Calculated X-ray powder pattern, λ = 1.5418 Å (Cu Kα). Input: a crystal structure in Alexandria, relaxed with PBE.
Neutral-atom scattering factors, no anomalous dispersion.

Peak list (10 most intense, 10° ≤ 2θ ≤ 90°, in order of falling intensity)
2θ/deg  d_spacing  I/Imax
12.97  6.827  100
28.42  3.141  43
28.28  3.156  39
30.12  2.967  29
25.02  3.559  27
10.11  8.749  25
46.21  1.965  25
26.10  3.414  24
32.54  2.752  24
24.56  3.624  16

Crystal structure
Lattice parameters (Å, degrees): 9.4951 9.4951 6.8694 95.87 95.87 44.03
Sites, in units of the cell vectors:
Sr 0.0000 0.0000 0.0000
U 0.0611 0.7292 0.4685
U 0.2708 0.9389 0.5315
U 0.6688 0.3312 0.5000
Se 0.4688 0.1325 0.3859
Se 0.8675 0.5312 0.6141
O 0.0466 0.7499 0.1994
O 0.0570 0.7395 0.7398
O 0.1008 0.3461 0.0550
O 0.2501 0.9534 0.8006
O 0.2605 0.9430 0.2602
O 0.3537 0.6463 0.5000
O 0.3566 0.3753 0.4495
O 0.3972 0.0821 0.5623
O 0.6247 0.6434 0.5505
O 0.6310 0.0439 0.9398
O 0.6539 0.8992 0.9450
O 0.6865 0.3075 0.2314
O 0.6925 0.3135 0.7686
O 0.7035 0.0316 0.4738
O 0.9179 0.6028 0.4377
O 0.9561 0.3690 0.0602
O 0.9684 0.2965 0.5262
O 0.9846 0.0154 0.5000

[2]
# AcCdPtO6
Calculated X-ray powder pattern, λ = 1.5418 Å (Cu Kα). Input: a crystal structure in Alexandria, relaxed with PBE.
Neutral-atom scattering factors, no anomalous dispersion.

Peak list (10 most intense, 10° ≤ 2θ ≤ 90°, in order of falling intensity)
2θ/deg  d_spacing  I/Imax
27.96  3.192  100
29.76  3.002  97
54.75  1.677  48
37.31  2.410  44
51.71  1.768  37
41.28  2.187  36
52.81  1.733  28
21.99  4.042  23
71.73  1.316  16
79.54  1.205  16

Crystal structure
Lattice parameters (Å, degrees): 6.0046 6.0046 8.0849 90.00 90.00 120.00
Sites, in units of the cell vectors:
Ac 0.3333 0.6667 0.2500
Ac 0.6667 0.3333 0.7500
Cd 0.0000 0.0000 0.0000
Cd 0.0000 0.0000 0.5000
Pt 0.3333 0.6667 0.7500
Pt 0.6667 0.3333 0.2500
O 0.0649 0.3890 0.6153
O 0.0649 0.6759 0.8847
O 0.3241 0.3890 0.8847
O 0.3241 0.9351 0.6153
O 0.3890 0.0649 0.1153
O 0.3890 0.3241 0.3847
O 0.6110 0.6759 0.6153
O 0.6110 0.9351 0.8847
O 0.6759 0.0649 0.3847
O 0.6759 0.6110 0.1153
O 0.9351 0.3241 0.1153
O 0.9351 0.6110 0.3847